1.
Structure and computed powder diffractogram of Na2TiCrP3O12 (a structure optimized by DFT (GGA+U); Cu Ka).
Neutral-atom scattering factors, no anomalous dispersion.

Top 6 peaks for 5° ≤ 2θ ≤ 70°, by intensity:
hkl 0 2 1, 2θ 23.8, 3.739 Å, I = 100
hkl 0 2 2, 2θ 32.0, 2.800 Å, I = 77
hkl 3 1 -1, 2θ 20.4, 4.349 Å, I = 40
hkl 2 0 -2, 2θ 20.0, 4.436 Å, I = 38
hkl 3 3 -1, 2θ 35.8, 2.511 Å, I = 33
hkl 4 0 0, 2θ 28.7, 3.106 Å, I = 32

Unit cell a=15.0481 b=8.7100 c=8.8724 alpha=90.00 beta=124.41 gamma=90.00
Space group C2 (No. 5)
One atom of each set of equivalent atoms:
Na: 0.1835 0.0000 0.0003 x4
Na: 0.2475 0.3202 0.2525 x4
Ti: 0.1077 0.8167 0.3212 x4
Cr: 0.1010 0.3190 0.8080 x4
P: 0.0000 0.0303 0.5000 x2
P: 0.0000 0.1087 0.0000 x2
P: 0.1428 0.6706 0.9998 x4
P: 0.1435 0.4613 0.5007 x4
O: 0.0427 0.7455 0.8306 x4
O: 0.0462 0.3918 0.3293 x4
O: 0.0701 0.0040 0.1695 x4
O: 0.0725 0.1236 0.6752 x4
O: 0.0772 0.9248 0.4820 x4
O: 0.0808 0.2063 0.9873 x4
O: 0.1437 0.7071 0.1710 x4
O: 0.1489 0.6389 0.4821 x4
O: 0.1498 0.4370 0.6779 x4
O: 0.1516 0.4958 0.9880 x4
O: 0.2408 0.7463 0.0122 x4
O: 0.2443 0.3899 0.5186 x4

=====

2.
Structure and computed powder diffractogram of NaPrCr4O12 (a structure optimized by DFT (GGA+U); Cu Ka).
Neutral-atom scattering factors, no anomalous dispersion.

Top 6 peaks for 5° ≤ 2θ ≤ 70°, by intensity:
hkl 2 0 0, 2θ 33.6, 2.671 Å, I = 100
hkl 1 0 1, 2θ 20.4, 4.362 Å, I = 66
hkl 2 2 0, 2θ 48.2, 1.887 Å, I = 37
hkl 2 1 1, 2θ 39.6, 2.278 Å, I = 35
hkl 1 0 0, 2θ 16.6, 5.336 Å, I = 28
hkl 3 1 2, 2θ 60.0, 1.541 Å, I = 24

Unit cell a=5.3364 b=5.3364 c=7.5713 alpha=90.00 beta=90.00 gamma=90.00
Space group P4/mmm (No. 123)
One atom of each set of equivalent atoms:
Na: 0.0000 0.0000 0.0000 x1
Pr: 0.5000 0.5000 0.5000 x1
Cr: 0.0000 0.5000 0.2410 x4
O: 0.0000 0.5000 0.0000 x2
O: 0.0000 0.5000 0.5000 x2
O: 0.2542 0.2542 0.2547 x8

=====

3.
Structure and computed powder diffractogram of NaCrS2O8 (a structure optimized by DFT (GGA+U); Cu Ka).
Neutral-atom scattering factors, no anomalous dispersion.

Top 6 peaks for 5° ≤ 2θ ≤ 70°, by intensity:
hkl 2 1 2, 2θ 30.5, 2.935 Å, I = 100
hkl 1 0 1, 2θ 12.4, 7.135 Å, I = 48
hkl 4 0 1, 2θ 27.2, 3.274 Å, I = 43
hkl 1 1 1, 2θ 21.2, 4.183 Å, I = 37
hkl 2 1 1, 2θ 23.9, 3.730 Å, I = 35
hkl 3 0 1, 2θ 21.6, 4.120 Å, I = 31

Unit cell a=14.2729 b=5.1641 c=8.2377 alpha=90.00 beta=90.00 gamma=90.00
Space group Pnma (No. 62)
One atom of each set of equivalent atoms:
Na: 0.0837 0.2500 0.0786 x4
Cr: 0.1517 0.2500 0.5011 x4
S: 0.0579 0.7500 0.3041 x4
S: 0.1633 0.7500 0.7534 x4
O: 0.0182 0.2500 0.5743 x4
O: 0.0263 0.7500 0.1360 x4
O: 0.0634 0.7500 0.7820 x4
O: 0.1180 0.5141 0.3291 x8
O: 0.1956 0.5158 0.6613 x8
O: 0.2141 0.7500 0.9135 x4

=====

4.
Structure and computed powder diffractogram of NaCrS2O8 (a structure optimized by DFT (GGA+U); Cu Ka).
Neutral-atom scattering factors, no anomalous dispersion.

Top 6 peaks for 5° ≤ 2θ ≤ 70°, by intensity:
hkl 0 0 1, 2θ 11.9, 7.462 Å, I = 100
hkl 1 1 -1, 2θ 23.3, 3.818 Å, I = 85
hkl 1 1 -2, 2θ 31.1, 2.877 Å, I = 59
hkl 2 0 1, 2θ 25.6, 3.484 Å, I = 51
hkl 3 1 0, 2θ 37.5, 2.395 Å, I = 40
hkl 1 1 2, 2θ 32.0, 2.799 Å, I = 34

Unit cell a=8.1109 b=5.1902 c=7.4716 alpha=90.00 beta=92.97 gamma=90.00
Space group C2/m (No. 12)
One atom of each set of equivalent atoms:
Na: 0.0000 0.0000 0.0000 x2
Cr: 0.0000 0.0000 0.5000 x2
S: 0.1352 0.5000 0.2885 x4
O: 0.0268 0.2650 0.3050 x8
O: 0.2040 0.5000 0.1132 x4
O: 0.2420 0.0000 0.5570 x4